The following is a calculated X-ray powder pattern of Os2PdPbO8. It was derived from the PBE geometry in Alexandria, using Cu Kα.
Neutral-atom scattering factors, no anomalous dispersion.

Cell and atoms:
abc: 8.375 8.375 8.375
angles: 36.50 36.50 36.50
Atoms (fractional coordinates):
Os 0.250 0.250 0.250
Os 0.750 0.750 0.750
Pd 0.000 0.000 0.000
Pb 0.500 0.500 0.500
O 0.061 0.401 0.730
O 0.173 0.173 0.173
O 0.270 0.599 0.939
O 0.401 0.730 0.061
O 0.599 0.939 0.270
O 0.730 0.061 0.401
O 0.827 0.827 0.827
O 0.939 0.270 0.599

The 10 most intense peaks (2θ from 15° to 90°), sorted by position:
2θ (°), Rel. int.
24.80, 100
34.19, 44
36.51, 36
42.70, 24
50.88, 14
55.79, 22
58.98, 20
61.21, 11
62.73, 15
77.52, 13